This entry pairs a crystal structure of La4GaBiN with its computed powder diffraction line list. Radiation: a wavelength of 1.5418 Å. Structure: a cell relaxed with GGA-PBE.
Peak positions follow from Bragg's law for the DFT cell and can differ from measured ones.

Atomic structure:
```
La4GaBiN
1.0
3.460 -8.743 0.000
3.460 8.743 0.000
0.000 0.000 6.912
La Ga Bi N
8 2 2 2
Direct
0.000 0.500 0.000
0.000 0.500 0.500
0.060 0.940 0.750
0.414 0.586 0.750
0.500 0.000 0.000
0.500 0.000 0.500
0.586 0.414 0.250
0.940 0.060 0.250
0.117 0.883 0.250
0.883 0.117 0.750
0.392 0.608 0.250
0.608 0.392 0.750
0.280 0.720 0.750
0.720 0.280 0.250
```

Principal peaks in the range 15° ≤ 2θ ≤ 90°, by angle:
2θ (°), Rel. int.
25.8, 23
27.7, 100
30.7, 39
31.4, 26
33.0, 99
36.8, 75
48.6, 46
53.0, 26
60.8, 22
63.9, 31